In3NiCl6: simulated X-ray diffraction stick pattern (CuKα), based on a GGA-PBE-relaxed structure.

Structure:
```
data_In3NiCl6
_symmetry_space_group_name_H-M 'F m -3 m'
_symmetry_Int_Tables_number 225
_symmetry_space_group_name_Hall '-F 4 2 3'
_cell_length_a 10.0457
_cell_length_b 10.0457
_cell_length_c 10.0457
_cell_angle_alpha 90.00
_cell_angle_beta 90.00
_cell_angle_gamma 90.00
loop_
_atom_site_label
_atom_site_fract_x
_atom_site_fract_y
_atom_site_fract_z
In1 0.0000 0.0000 0.0000
In2 0.2500 0.2500 0.2500
Ni1 0.0000 0.0000 0.5000
Cl1 0.0000 0.0000 0.2603
```

The 10 most intense peaks (10 to 90 degrees two-theta), sorted by position:
d = 3.552 Å, 25.07 deg, intensity 100; d = 2.900 Å, 30.83 deg, intensity 24; d = 2.511 Å, 35.75 deg, intensity 66; d = 2.051 Å, 44.17 deg, intensity 44; d = 1.776 Å, 51.46 deg, intensity 43; d = 1.588 Å, 58.07 deg, intensity 20; d = 1.450 Å, 64.24 deg, intensity 14; d = 1.342 Å, 70.10 deg, intensity 22; d = 1.184 Å, 81.26 deg, intensity 11; d = 1.123 Å, 86.69 deg, intensity 18